1.
This entry pairs a crystal structure of LaS2 with its computed X-ray diffraction stick pattern. Radiation: Cu Kα, 1.54184 Å. Structure: a DFT-relaxed cell (PBE, the Materials Project).

Peak list (10 most intense, 10 to 80 degrees two-theta, by intensity)
24.5°, I = 100; 38.2°, I = 73; 39.4°, I = 46; 31.3°, I = 42; 44.8°, I = 33; 21.4°, I = 29; 51.7°, I = 27; 61.2°, I = 25; 33.1°, I = 23; 78.2°, I = 17

Atomic structure:
```
LaS2
1.0
4.046 0.000 0.000
0.000 4.046 0.000
0.000 0.000 8.318
La S
2 4
Direct
0.250 0.250 0.224
0.750 0.750 0.776
0.250 0.250 0.864
0.250 0.750 0.500
0.750 0.250 0.500
0.750 0.750 0.136
```

***

2.
This entry pairs a crystal structure of Rb2PdF6 with its computed X-ray diffraction stick pattern. Radiation: Cu Kα, 1.54184 Å. Structure: a DFT-relaxed cell (PBE, the Materials Project).

Peak list (10 most intense, 10 to 80 degrees two-theta, by intensity)
28.7°, I = 100; 17.5°, I = 63; 41.1°, I = 46; 50.9°, I = 38; 59.5°, I = 27; 33.8°, I = 22; 67.4°, I = 20; 35.4°, I = 20; 54.3°, I = 12; 62.6°, I = 11

Atomic structure:
```
Rb2PdF6
1.0
0.000 4.392 4.392
4.392 0.000 4.392
4.392 4.392 0.000
Rb Pd F
2 1 6
Direct
0.250 0.250 0.250
0.750 0.750 0.750
0.000 0.000 0.000
0.222 0.222 0.778
0.222 0.778 0.222
0.222 0.778 0.778
0.778 0.222 0.222
0.778 0.222 0.778
0.778 0.778 0.222
```

***

3.
This entry pairs a crystal structure of NbSiRu with its computed X-ray diffraction stick pattern. Radiation: Cu Kα, 1.54184 Å. Structure: a DFT-relaxed cell (PBE, the Materials Project).

Peak list (10 most intense, 10 to 80 degrees two-theta, by intensity)
37.1°, I = 100; 40.4°, I = 68; 36.9°, I = 46; 42.2°, I = 34; 42.5°, I = 32; 42.4°, I = 31; 40.5°, I = 28; 50.1°, I = 27; 29.2°, I = 26; 67.7°, I = 22

Atomic structure:
```
NbSiRu
1.0
-3.640 5.623 3.276
3.640 -5.623 3.276
3.640 5.623 -3.276
Nb Si Ru
6 6 6
Direct
0.002 0.250 0.252
0.418 0.387 0.531
0.427 0.873 0.053
0.820 0.373 0.947
0.855 0.887 0.469
0.998 0.750 0.748
0.086 0.423 0.670
0.086 0.916 0.163
0.386 0.164 0.721
0.443 0.664 0.279
0.753 0.416 0.330
0.753 0.923 0.837
0.171 0.328 0.909
0.171 0.763 0.343
0.419 0.263 0.091
0.419 0.828 0.657
0.665 0.165 0.500
0.665 0.665 0.000
```

***

4.
This entry pairs a crystal structure of Nb3Al2Mo3 with its computed X-ray diffraction stick pattern. Radiation: Cu Kα, 1.54184 Å. Structure: a DFT-relaxed cell (PBE, the Materials Project).

Peak list (10 most intense, 10 to 80 degrees two-theta, by intensity)
39.6°, I = 100; 39.5°, I = 97; 43.4°, I = 46; 35.2°, I = 28; 24.7°, I = 24; 63.1°, I = 22; 66.0°, I = 21; 24.8°, I = 21; 66.3°, I = 20; 74.5°, I = 20

Atomic structure:
```
Nb3Al2Mo3
1.0
3.611 2.085 2.930
-3.611 2.085 2.930
0.000 -4.169 2.930
Nb Al Mo
3 2 3
Direct
0.000 0.746 0.254
0.254 0.000 0.746
0.746 0.254 0.000
0.252 0.252 0.252
0.748 0.748 0.748
0.250 0.500 0.750
0.500 0.750 0.250
0.750 0.250 0.500
```